Starting from the GGA-PBE geometry in Alexandria, the powder XRD pattern of CsAlPb2 was computed for Cu Kα, 1.54184 Å.

Peak list (10 most intense, 5° ≤ 2θ ≤ 70°, most intense first)
| Position (°2θ) | Rel. int. | hkl |
| --- | --- | --- |
| 27.23 | 1000 | 1 1 2 |
| 9.30 | 756 | 0 0 1 |
| 27.76 | 743 | -1 1 2 |
| 25.39 | 651 | 0 1 -2 |
| 22.94 | 644 | 1 -1 0 |
| 36.24 | 608 | 2 0 0 |
| 18.05 | 392 | 0 1 -1 |
| 35.15 | 387 | 0 2 3 |
| 23.64 | 381 | -1 1 1 |
| 42.07 | 341 | 1 0 -4 |

Cell and atoms:
Cell lengths 4.961, 6.661, 9.725 Å; angles 77.96, 89.86, 87.94 degrees
Space group P1 (No. 1)
One atom of each set of equivalent atoms:
Cs (0.000, 0.000, 0.000) x1
Cs (0.028, 0.422, 0.298) x1
Al (0.036, 0.866, 0.524) x1
Al (0.541, 0.605, 0.565) x1
Pb (0.039, 0.454, 0.718) x1
Pb (0.507, 0.928, 0.330) x1
Pb (0.518, 0.678, 0.846) x1
Pb (0.566, 0.110, 0.612) x1

=====

Starting from the GGA-PBE geometry in Alexandria, the powder XRD pattern of CsAlPb2 was computed for Cu Kα, 1.54184 Å.

Peak list (10 most intense, 5° ≤ 2θ ≤ 70°, most intense first)
| Position (°2θ) | Rel. int. | hkl |
| --- | --- | --- |
| 25.15 | 1000 | 1 -2 1 |
| 24.47 | 955 | 1 1 -1 |
| 20.35 | 857 | 0 0 2 |
| 12.64 | 572 | 0 1 -1 |
| 35.94 | 415 | 2 -1 0 |
| 29.57 | 376 | 1 1 1 |
| 29.78 | 333 | -1 2 1 |
| 11.92 | 309 | 0 1 0 |
| 34.82 | 293 | 0 3 -2 |
| 36.62 | 260 | -1 2 2 |

Cell and atoms:
Cell lengths 4.999, 8.262, 9.328 Å; angles 109.42, 91.25, 106.21 degrees
Space group P1 (No. 1)
One atom of each set of equivalent atoms:
Cs (0.000, 0.000, 0.000) x1
Cs (0.145, 0.320, 0.582) x1
Al (0.114, 0.796, 0.328) x1
Al (0.641, 0.840, 0.320) x1
Pb (0.265, 0.576, 0.048) x1
Pb (0.458, 0.953, 0.624) x1
Pb (0.691, 0.431, 0.201) x1
Pb (0.817, 0.679, 0.567) x1

=====

Starting from the GGA-PBE geometry in Alexandria, the powder XRD pattern of CsPrAlTe4 was computed for Cu Kα, 1.54184 Å.

Peak list (10 most intense, 5° ≤ 2θ ≤ 70°, most intense first)
| Position (°2θ) | Rel. int. | hkl |
| --- | --- | --- |
| 25.06 | 1000 | 2 0 -2 |
| 26.79 | 915 | 1 1 2 |
| 29.37 | 783 | 1 2 0 |
| 8.43 | 692 | 0 0 1 |
| 23.13 | 548 | 1 0 2 |
| 28.49 | 541 | 2 1 -2 |
| 32.38 | 516 | 1 2 -2 |
| 31.88 | 473 | 0 2 2 |
| 38.27 | 374 | 3 1 0 |
| 55.27 | 346 | 0 4 0 |

Cell and atoms:
Cell lengths 7.837, 6.646, 10.895 Å; angles 90.00, 105.71, 90.00 degrees
Space group P2_1/m (No. 11)
One atom of each set of equivalent atoms:
Cs (0.245, 0.250, 0.051) x2
Pr (0.249, 0.250, 0.549) x2
Al (0.262, 0.750, 0.335) x2
Te (0.010, 0.509, 0.706) x4
Te (0.417, 0.750, 0.578) x2
Te (0.455, 0.750, 0.179) x2

=====

Starting from the GGA-PBE geometry in Alexandria, the powder XRD pattern of Cs4Rb2AlSb2 was computed for Cu Kα, 1.54184 Å.

Peak list (10 most intense, 5° ≤ 2θ ≤ 70°, most intense first)
| Position (°2θ) | Rel. int. | hkl |
| --- | --- | --- |
| 22.33 | 1000 | 2 2 -1 |
| 25.12 | 852 | 2 2 1 |
| 23.35 | 524 | 4 0 0 |
| 8.70 | 394 | 1 1 0 |
| 25.37 | 380 | 1 3 -1 |
| 32.38 | 360 | 0 0 2 |
| 29.15 | 226 | 4 2 -1 |
| 26.12 | 207 | 0 4 0 |
| 39.61 | 180 | 0 6 0 |
| 20.66 | 174 | 0 2 1 |

Cell and atoms:
Cell lengths 15.472, 13.647, 5.622 Å; angles 90.00, 100.02, 90.00 degrees
Space group C2/m (No. 12)
One atom of each set of equivalent atoms:
Cs (0.131, 0.197, 0.192) x8
Rb (0.140, 0.500, 0.734) x4
Al (0.000, 0.000, 0.500) x2
Sb (0.163, 0.000, 0.693) x4

=====

Starting from the GGA-PBE geometry in Alexandria, the powder XRD pattern of CsRb2AlSb2 was computed for Cu Kα, 1.54184 Å.

Peak list (10 most intense, 5° ≤ 2θ ≤ 70°, most intense first)
| Position (°2θ) | Rel. int. | hkl |
| --- | --- | --- |
| 28.00 | 1000 | 1 4 1 |
| 29.25 | 611 | 3 1 0 |
| 30.64 | 609 | 2 0 2 |
| 26.36 | 597 | 1 1 2 |
| 28.59 | 486 | 2 3 1 |
| 11.63 | 467 | 0 2 0 |
| 19.92 | 361 | 1 3 0 |
| 33.64 | 339 | 0 4 2 |
| 44.57 | 276 | 1 4 3 |
| 30.30 | 263 | 2 4 0 |

Cell and atoms:
Cell lengths 9.349, 15.213, 7.467 Å; angles 90.00, 90.00, 90.00 degrees
Space group Ibam (No. 72)
One atom of each set of equivalent atoms:
Cs (0.000, 0.000, 0.250) x4
Rb (0.183, 0.321, 0.000) x8
Al (0.000, 0.500, 0.250) x4
Sb (0.170, 0.412, 0.500) x8

=====

Starting from the GGA-PBE geometry in Alexandria, the powder XRD pattern of CsAlS3 was computed for Cu Kα, 1.54184 Å.

Peak list (10 most intense, 5° ≤ 2θ ≤ 70°, most intense first)
| Position (°2θ) | Rel. int. | hkl |
| --- | --- | --- |
| 26.45 | 1000 | 2 2 -1 |
| 23.90 | 527 | 1 3 0 |
| 23.31 | 485 | 1 1 1 |
| 31.63 | 451 | 0 4 1 |
| 20.28 | 436 | 0 2 1 |
| 16.44 | 387 | 1 1 -1 |
| 29.85 | 294 | 0 0 2 |
| 42.20 | 231 | 1 3 2 |
| 35.53 | 218 | 2 2 1 |
| 23.57 | 211 | 2 0 0 |

Cell and atoms:
Cell lengths 8.189, 12.841, 6.493 Å; angles 90.00, 112.78, 90.00 degrees
Space group Cc (No. 9)
One atom of each set of equivalent atoms:
Cs (0.000, 0.162, 0.000) x4
Al (0.033, 0.480, 0.603) x4
S (0.196, 0.430, 0.955) x4
S (0.290, 0.074, 0.591) x4
S (0.417, 0.163, 0.885) x4

=====

Starting from the GGA-PBE geometry in Alexandria, the powder XRD pattern of CsScAlS4 was computed for Cu Kα, 1.54184 Å.

Peak list (10 most intense, 5° ≤ 2θ ≤ 70°, most intense first)
| Position (°2θ) | Rel. int. | hkl |
| --- | --- | --- |
| 20.40 | 1000 | 1 1 0 |
| 31.33 | 740 | 1 1 2 |
| 32.73 | 739 | 2 1 -2 |
| 29.32 | 609 | 0 2 0 |
| 24.51 | 461 | 1 1 1 |
| 24.92 | 421 | 1 1 -2 |
| 29.16 | 385 | 2 0 -2 |
| 35.41 | 374 | 0 2 2 |
| 20.56 | 350 | 1 1 -1 |
| 41.48 | 350 | 2 2 0 |

Cell and atoms:
Cell lengths 6.562, 6.090, 9.647 Å; angles 90.00, 108.41, 90.00 degrees
Space group P2_1/m (No. 11)
One atom of each set of equivalent atoms:
Cs (0.243, 0.250, 0.451) x2
Sc (0.280, 0.250, 0.948) x2
Al (0.242, 0.750, 0.151) x2
S (0.015, 0.750, 0.924) x2
S (0.042, 0.750, 0.296) x2
S (0.495, 0.508, 0.819) x4

=====

Starting from the GGA-PBE geometry in Alexandria, the powder XRD pattern of CsSmAlS3 was computed for Cu Kα, 1.54184 Å.

Peak list (10 most intense, 5° ≤ 2θ ≤ 70°, most intense first)
| Position (°2θ) | Rel. int. | hkl |
| --- | --- | --- |
| 27.31 | 1000 | 1 1 -2 |
| 35.16 | 544 | 3 1 2 |
| 20.13 | 440 | 1 1 0 |
| 23.42 | 413 | 4 0 0 |
| 26.14 | 380 | 3 1 0 |
| 37.36 | 352 | 5 1 -2 |
| 39.09 | 327 | 0 2 0 |
| 27.17 | 323 | 4 0 -2 |
| 24.94 | 311 | 2 0 2 |
| 9.75 | 270 | 0 0 1 |

Cell and atoms:
Cell lengths 15.564, 4.609, 9.290 Å; angles 90.00, 102.48, 90.00 degrees
Space group C2/m (No. 12)
One atom of each set of equivalent atoms:
Cs (0.141, 0.000, 0.056) x4
Sm (0.147, 0.000, 0.560) x4
Al (0.001, 0.500, 0.357) x4
S (0.007, 0.000, 0.301) x4
S (0.149, 0.500, 0.760) x4
S (0.167, 0.500, 0.371) x4

=====

Starting from the GGA-PBE geometry in Alexandria, the powder XRD pattern of Cs2UAlS4 was computed for Cu Kα, 1.54184 Å.

Peak list (10 most intense, 5° ≤ 2θ ≤ 70°, most intense first)
| Position (°2θ) | Rel. int. | hkl |
| --- | --- | --- |
| 23.74 | 1000 | 0 2 6 |
| 15.53 | 774 | 1 1 1 |
| 28.66 | 768 | 1 3 5 |
| 23.21 | 596 | 1 3 1 |
| 30.59 | 506 | 2 2 0 |
| 22.80 | 494 | 1 1 5 |
| 34.85 | 453 | 2 0 6 |
| 13.53 | 449 | 0 0 4 |
| 42.96 | 407 | 2 4 6 |
| 24.33 | 362 | 0 4 0 |

Cell and atoms:
Cell lengths 6.375, 14.633, 26.184 Å; angles 90.00, 90.00, 90.00 degrees
Space group Fddd (No. 70, origin choice 2)
One atom of each set of equivalent atoms:
Cs (0.125, 0.125, 0.303) x16
U (0.125, 0.125, 0.125) x8
Al (0.125, 0.125, 0.625) x8
S (0.086, 0.283, 0.826) x32

=====

Starting from the GGA-PBE geometry in Alexandria, the powder XRD pattern of CsAl3Sb3 was computed for Cu Kα, 1.54184 Å.

Peak list (10 most intense, 5° ≤ 2θ ≤ 70°, most intense first)
| Position (°2θ) | Rel. int. | hkl |
| --- | --- | --- |
| 28.19 | 1000 | 2 1 1 |
| 43.68 | 596 | 3 2 1 |
| 25.69 | 568 | 2 1 0 |
| 22.94 | 421 | 2 0 0 |
| 46.87 | 259 | 4 0 0 |
| 66.00 | 173 | 5 2 1 |
| 52.81 | 169 | 4 2 0 |
| 68.45 | 165 | 4 4 0 |
| 40.30 | 162 | 2 2 2 |
| 42.02 | 154 | 3 2 0 |

Cell and atoms:
Cell lengths 7.753, 7.753, 7.753 Å; angles 90.00, 90.00, 90.00 degrees
Space group Pm-3n (No. 223)
One atom of each set of equivalent atoms:
Cs (0.000, 0.000, 0.000) x2
Al (0.000, 0.250, 0.500) x6
Sb (0.000, 0.500, 0.250) x6

=====

Starting from the GGA-PBE geometry in Alexandria, the powder XRD pattern of Cs3AlSe3 was computed for Cu Kα, 1.54184 Å.

Peak list (10 most intense, 5° ≤ 2θ ≤ 70°, most intense first)
| Position (°2θ) | Rel. int. | hkl |
| --- | --- | --- |
| 27.75 | 1000 | 0 1 4 |
| 27.99 | 790 | 1 1 -4 |
| 29.68 | 726 | 3 1 0 |
| 29.45 | 602 | 2 2 -2 |
| 31.86 | 527 | 0 3 1 |
| 23.14 | 442 | 1 2 -1 |
| 19.76 | 426 | 1 1 2 |
| 28.88 | 371 | 1 2 -3 |
| 30.54 | 348 | 2 1 3 |
| 42.87 | 341 | 2 3 3 |

Cell and atoms:
Cell lengths 9.751, 8.609, 14.028 Å; angles 90.00, 98.66, 90.00 degrees
Space group P2_1/c (No. 14)
One atom of each set of equivalent atoms:
Cs (0.079, 0.150, 0.134) x4
Cs (0.318, 0.716, 0.789) x4
Cs (0.391, 0.226, 0.922) x4
Al (0.161, 0.574, 0.046) x4
Se (0.066, 0.060, 0.393) x4
Se (0.239, 0.666, 0.522) x4
Se (0.343, 0.063, 0.646) x4

=====

Starting from the GGA-PBE geometry in Alexandria, the powder XRD pattern of Cs2AlVSe4 was computed for Cu Kα, 1.54184 Å.

Peak list (10 most intense, 5° ≤ 2θ ≤ 70°, most intense first)
| Position (°2θ) | Rel. int. | hkl |
| --- | --- | --- |
| 25.42 | 1000 | 1 3 3 |
| 29.01 | 632 | 1 3 5 |
| 23.98 | 290 | 0 2 6 |
| 29.93 | 260 | 2 0 2 |
| 47.38 | 255 | 2 6 0 |
| 27.70 | 248 | 0 0 8 |
| 35.97 | 247 | 2 0 6 |
| 49.41 | 180 | 3 3 3 |
| 42.36 | 151 | 0 6 6 |
| 45.99 | 150 | 2 0 10 |

Cell and atoms:
Cell lengths 6.138, 14.750, 25.768 Å; angles 90.00, 90.00, 90.00 degrees
Space group Fddd (No. 70, origin choice 2)
One atom of each set of equivalent atoms:
Cs (0.125, 0.125, 0.303) x16
Al (0.125, 0.125, 0.125) x8
V (0.125, 0.125, 0.625) x8
Se (0.121, 0.284, 0.426) x32

=====

Starting from the GGA-PBE geometry in Alexandria, the powder XRD pattern of Cs4AlSn4 was computed for Cu Kα, 1.54184 Å.

Peak list (10 most intense, 5° ≤ 2θ ≤ 70°, most intense first)
| Position (°2θ) | Rel. int. | hkl |
| --- | --- | --- |
| 26.19 | 1000 | 2 1 1 |
| 21.40 | 599 | 0 0 4 |
| 37.45 | 515 | 2 1 5 |
| 30.36 | 391 | 2 1 3 |
| 16.13 | 309 | 1 1 0 |
| 42.75 | 221 | 3 1 4 |
| 56.46 | 183 | 2 1 9 |
| 31.53 | 158 | 2 0 4 |
| 36.56 | 143 | 3 1 0 |
| 22.88 | 136 | 2 0 0 |

Cell and atoms:
Cell lengths 7.773, 7.773, 16.605 Å; angles 90.00, 90.00, 90.00 degrees
Space group I-42m (No. 121)
One atom of each set of equivalent atoms:
Cs (0.179, 0.179, 0.129) x8
Al (0.000, 0.000, 0.500) x2
Sn (0.133, 0.133, 0.361) x8